No. 1
For Ca2Tl2MoO6, a crystal structure in Alexandria, relaxed with PBE+U gives the theoretical XRD peak list in this record (Cu Kα (weighted mean of Kα1 and Kα2)).
No peak broadening, texture or thermal motion is included.

Cell and atoms:
```
data_Ca2Tl2MoO6
_chemical_formula_sum 'Ca4 Tl4 Mo2 O12'
_cell_length_a 5.8721
_cell_length_b 10.0100
_cell_length_c 6.6918
_cell_angle_alpha 90.00
_cell_angle_beta 105.59
_cell_angle_gamma 90.00
_symmetry_space_group_name_H-M 'C 1 2/m 1'
_symmetry_Int_Tables_number 12
loop_
_symmetry_equiv_pos_as_xyz
'x,y,z'
'-x,-y,-z'
'-x,y,-z'
'x,-y,z'
'x+1/2,y+1/2,z'
'-x+1/2,-y+1/2,-z'
'-x+1/2,y+1/2,-z'
'x+1/2,-y+1/2,z'
loop_
_atom_site_label
_atom_site_fract_x
_atom_site_fract_y
_atom_site_fract_z
Ca1 0.0000 0.1647 0.0000
Tl1 0.0000 0.3330 0.5000
Mo1 0.0000 0.5000 0.0000
O1 0.1931 0.3577 0.1642
O2 0.2224 0.5000 0.8223
```

Principal peaks in the range 10° ≤ 2θ ≤ 80°, by angle:
Position (°2θ)	Rel. int.	h k l
18.01	85	1 1 0
22.49	47	0 2 1
27.68	56	0 0 2
32.33	66	1 3 -1
35.90	100	1 3 1
36.19	43	2 0 -2

No. 2
For Li4Ti3Nb3V2O16, a crystal structure in Alexandria, relaxed with PBE+U gives the theoretical XRD peak list in this record (Cu Kα (weighted mean of Kα1 and Kα2)).
No peak broadening, texture or thermal motion is included.

Cell and atoms:
```
data_Li4Ti3Nb3V2O16
_chemical_formula_sum 'Li8 Ti6 Nb6 V4 O32'
_cell_length_a 10.5457
_cell_length_b 5.9978
_cell_length_c 10.0252
_cell_angle_alpha 90.00
_cell_angle_beta 90.24
_cell_angle_gamma 90.00
_symmetry_space_group_name_H-M 'C 1 m 1'
_symmetry_Int_Tables_number 8
loop_
_symmetry_equiv_pos_as_xyz
'x,y,z'
'x,-y,z'
'x+1/2,y+1/2,z'
'x+1/2,-y+1/2,z'
loop_
_atom_site_label
_atom_site_fract_x
_atom_site_fract_y
_atom_site_fract_z
Li1 0.0000 0.0000 0.0000
Li2 0.0018 0.0000 0.4988
Li3 0.1756 0.5000 0.8927
Li4 0.3394 0.0000 0.3997
Ti1 0.3421 0.5000 0.2249
Ti2 0.4235 0.2476 0.7177
Nb1 0.0888 0.2721 0.2115
Nb2 0.1755 0.0000 0.7176
V1 0.1755 0.5000 0.4929
V2 0.3367 0.0000 0.9855
O1 0.0025 0.0000 0.3172
O2 0.0047 0.0000 0.8189
O3 0.0203 0.5000 0.3512
O4 0.0845 0.2372 0.6073
O5 0.1626 0.0000 0.1001
O6 0.1934 0.5000 0.0979
O7 0.2483 0.2786 0.3323
O8 0.2677 0.2285 0.8331
O9 0.3420 0.0000 0.6085
O10 0.3516 0.5000 0.6111
O11 0.4264 0.2598 0.1084
O12 0.4880 0.0000 0.8305
```

Principal peaks in the range 10° ≤ 2θ ≤ 80°, by angle:
Position (°2θ)	Rel. int.	h k l
17.69	100	0 0 2
19.00	33	2 0 -1
19.18	71	1 1 -1
31.80	32	2 0 3
35.58	44	2 2 -1
44.06	44	2 2 -3